Sr3PmSe4: computed X-ray powder pattern (Cu Kα), based on a DFT-relaxed cell (PBE, Alexandria).

Structure:
Unit cell a=8.7736 b=12.3659 c=4.3538 alpha=90.00 beta=90.00 gamma=90.00
Space group Cmmm (No. 65)
One atom of each set of equivalent atoms:
Sr 0.0000 0.0000 0.0000 x2
Sr 0.2500 0.2500 0.5000 x4
Pm 0.0000 0.5000 0.0000 x2
Se 0.0000 0.2559 0.0000 x4
Se 0.2403 0.5000 0.5000 x4

Largest 10 diffraction maxima, by intensity, 2θ from 15° to 90°:
| h k l | d_spacing | Position (°2θ) | I/Imax |
| --- | --- | --- | --- |
| 2 0 1 | 3.091 | 28.89 | 100 |
| 2 4 1 | 2.186 | 41.31 | 50 |
| 4 4 2 | 1.382 | 67.80 | 22 |
| 4 4 0 | 1.789 | 51.06 | 13 |
| 0 4 2 | 1.780 | 51.33 | 13 |
| 4 0 0 | 2.193 | 41.16 | 13 |
| 0 0 2 | 2.177 | 41.48 | 12 |
| 6 4 1 | 1.264 | 75.14 | 12 |
| 4 0 2 | 1.545 | 59.85 | 12 |
| 2 4 3 | 1.259 | 75.55 | 8 |

Na14Au2Se9: computed X-ray powder pattern (Cu Kα), based on a DFT-relaxed cell (PBE, Alexandria).

Structure:
Unit cell a=8.3404 b=8.3404 c=11.4886 alpha=90.00 beta=90.00 gamma=120.00
Space group P-3 (No. 147)
One atom of each set of equivalent atoms:
Na 0.0000 0.0000 0.2473 x2
Na 0.0123 0.6670 0.4087 x6
Na 0.0488 0.3745 0.0979 x6
Au 0.3333 0.6667 0.7529 x2
Se 0.0000 0.0000 0.5000 x1
Se 0.0472 0.3497 0.8402 x6
Se 0.3333 0.6667 0.5207 x2

Largest 10 diffraction maxima, by intensity, 2θ from 15° to 90°:
| h k l | d_spacing | Position (°2θ) | I/Imax |
| --- | --- | --- | --- |
| 2 -1 4 | 2.365 | 38.04 | 100 |
| 3 0 0 | 2.408 | 37.35 | 89 |
| 2 -1 1 | 3.920 | 22.68 | 85 |
| 3 -2 1 | 2.656 | 33.75 | 40 |
| 1 0 3 | 3.381 | 26.36 | 35 |
| 0 0 3 | 3.830 | 23.23 | 33 |
| 2 2 4 | 1.687 | 54.37 | 30 |
| 5 -1 4 | 1.382 | 67.83 | 27 |
| 3 1 1 | 1.974 | 45.99 | 26 |
| 0 3 3 | 2.038 | 44.45 | 25 |